CaYMn2O6: simulated powder diffractogram (copper Kα), based on the GGA+U geometry in the Materials Project.
Kinematic intensities with the Lorentz-polarization factor, no thermal factor.

```
data_CaYMn2O6
_symmetry_space_group_name_H-M 'P 1 m 1'
_symmetry_Int_Tables_number 6
_symmetry_space_group_name_Hall 'P -2y'
_cell_length_a 5.379
_cell_length_b 7.469
_cell_length_c 5.618
_cell_angle_alpha 90.00
_cell_angle_beta 92.34
_cell_angle_gamma 90.00
loop_
_atom_site_label
_atom_site_type_symbol
_atom_site_fract_x
_atom_site_fract_y
_atom_site_fract_z
Ca1 Ca 0.000 0.000 0.000
Ca2 Ca 0.499 0.500 0.387
Y1 Y 0.474 0.000 0.511
Y2 Y 0.971 0.500 0.875
Mn1 Mn 0.486 0.250 0.949
Mn2 Mn 0.988 0.250 0.439
O1 O 0.081 0.500 0.478
O2 O 0.190 0.203 0.734
O3 O 0.282 0.201 0.258
O4 O 0.390 0.500 0.968
O5 O 0.572 0.000 0.917
O6 O 0.707 0.295 0.639
O7 O 0.799 0.301 0.141
O8 O 0.882 0.000 0.413
```

The 8 most intense peaks (2θ from 10° to 80°), in order of rising 2θ:
- 31.9 deg, I = 45
- 33.0 deg, I = 100
- 33.3 deg, I = 48
- 33.6 deg, I = 96
- 45.8 deg, I = 30
- 47.8 deg, I = 26
- 48.8 deg, I = 34
- 58.9 deg, I = 28